# 1
# Zr2PtC2
Simulated X-ray powder pattern, Cu Kα. Input: a DFT-relaxed cell (PBE, Alexandria).
Peak positions follow from Bragg's law for the DFT cell and can differ from measured ones.

Structural model:
```
Zr2PtC2
1.0
-1.7370 1.7370 6.3613
1.7370 -1.7370 6.3613
1.7370 1.7370 -6.3613
Zr Pt C
2 1 2
direct
0.1395 0.1395 0.0000
0.8605 0.8605 0.0000
0.5000 0.5000 0.0000
0.2500 0.7500 0.5000
0.7500 0.2500 0.5000
```

Main lines, by angle (5° ≤ 2θ ≤ 70°):
| 2θ/deg | Rel. int. |
| --- | --- |
| 13.92 | 262 |
| 33.34 | 1000 |
| 36.58 | 395 |
| 39.32 | 162 |
| 44.12 | 233 |
| 52.70 | 169 |
| 57.41 | 157 |
| 63.80 | 304 |

# 2
# Pm2Nd8Sc3
Simulated X-ray powder pattern, Cu Kα. Input: a DFT-relaxed cell (PBE, Alexandria).
Peak positions follow from Bragg's law for the DFT cell and can differ from measured ones.

Structural model:
```
Pm2Nd8Sc3
1.0
6.2059 0.0000 0.0000
-1.0342 6.1368 0.0000
-2.0305 -0.4054 11.0676
Pm Nd Sc
2 8 3
direct
0.1152 0.2681 0.4609
0.8848 0.7319 0.5391
0.0450 0.4139 0.1448
0.1909 0.1208 0.7833
0.3471 0.8067 0.3773
0.4227 0.6609 0.7020
0.5773 0.3391 0.2980
0.6529 0.1933 0.6227
0.8091 0.8792 0.2167
0.9550 0.5861 0.8552
0.2798 0.9586 0.0721
0.5000 0.5000 0.0000
0.7202 0.0414 0.9279
```

Main lines, by angle (5° ≤ 2θ ≤ 70°):
| 2θ/deg | Rel. int. |
| --- | --- |
| 7.99 | 116 |
| 30.57 | 1000 |
| 30.67 | 328 |
| 35.37 | 458 |
| 35.67 | 208 |
| 50.96 | 157 |
| 51.14 | 148 |
| 60.55 | 186 |

# 3
# KAu2I8
Simulated X-ray powder pattern, Cu Kα. Input: a DFT-relaxed cell (PBE, Alexandria).
Peak positions follow from Bragg's law for the DFT cell and can differ from measured ones.

Structural model:
```
KAu2I8
1.0
-4.1771 4.1771 7.0899
4.1771 -4.1771 7.0899
4.1771 4.1771 -7.0899
K Au I
1 2 8
direct
0.0000 0.0000 0.0000
0.2500 0.7500 0.5000
0.7500 0.2500 0.5000
0.0581 0.5271 0.8273
0.2308 0.0581 0.5310
0.3002 0.4729 0.5310
0.4729 0.9419 0.1727
0.5271 0.6998 0.4690
0.6998 0.2308 0.1727
0.7692 0.3002 0.8273
0.9419 0.7692 0.4690
```

Main lines, by angle (5° ≤ 2θ ≤ 70°):
| 2θ/deg | Rel. int. |
| --- | --- |
| 15.00 | 820 |
| 19.56 | 431 |
| 24.66 | 1000 |
| 30.50 | 529 |
| 33.15 | 527 |
| 36.29 | 284 |
| 42.68 | 473 |
| 46.10 | 212 |